[1]
Structure and computed powder diffractogram of Hf2Ga2Pd5 (a DFT-relaxed cell (GGA-PBE, Alexandria); copper Kα).
No peak broadening, texture or thermal motion is included.

Cell and atoms:
abc: 8.723 8.723 8.723
angles: 65.28 131.39 139.20
Atoms (fractional coordinates):
Hf (0.047, 0.119, 0.166)
Hf (0.047, 0.381, 0.427)
Hf (0.953, 0.619, 0.573)
Hf (0.953, 0.881, 0.834)
Ga (0.318, 0.598, 0.219)
Ga (0.379, 0.098, 0.781)
Ga (0.620, 0.120, 0.500)
Ga (0.620, 0.620, 0.000)
Pd (0.100, 0.287, 0.805)
Pd (0.100, 0.795, 0.312)
Pd (0.465, 0.811, 0.974)
Pd (0.465, 0.991, 0.154)
Pd (0.482, 0.432, 0.550)
Pd (0.483, 0.295, 0.195)
Pd (0.483, 0.787, 0.688)
Pd (0.837, 0.311, 0.846)
Pd (0.837, 0.491, 0.026)
Pd (0.882, 0.932, 0.450)

Peak list (6 most intense, 2θ = 5–70°, sorted by position)
2θ 31.06, intensity 100
2θ 38.44, intensity 52
2θ 38.81, intensity 40
2θ 40.79, intensity 32
2θ 42.42, intensity 59
2θ 46.56, intensity 33


[2]
Structure and computed powder diffractogram of Ag3Pd8Pt2 (a DFT-relaxed cell (GGA-PBE, Alexandria); copper Kα).
No peak broadening, texture or thermal motion is included.

Cell and atoms:
abc: 9.037 2.760 9.442
angles: 90.00 110.79 90.00
Atoms (fractional coordinates):
Ag (0.000, 0.000, 0.000)
Ag (0.047, 0.500, 0.273)
Ag (0.953, 0.500, 0.727)
Pd (0.169, 0.500, 0.585)
Pd (0.251, 0.000, 0.875)
Pd (0.290, 0.500, 0.137)
Pd (0.336, 0.000, 0.413)
Pd (0.664, 0.000, 0.587)
Pd (0.710, 0.500, 0.863)
Pd (0.749, 0.000, 0.125)
Pd (0.831, 0.500, 0.415)
Pt (0.443, 0.000, 0.720)
Pt (0.557, 0.000, 0.280)

Peak list (6 most intense, 2θ = 5–70°, sorted by position)
2θ 34.18, intensity 59
2θ 38.76, intensity 100
2θ 40.23, intensity 80
2θ 41.96, intensity 96
2θ 43.27, intensity 58
2θ 45.50, intensity 71